Pm2Er7Tm2: theoretical X-ray powder pattern (Cu Kα), based on the GGA-PBE geometry in Alexandria.

Most intense lines, 2θ = 5–70°, in order of falling intensity:
Position (°2θ)	d [Å]	I (rel.)
32.38	2.765	100
31.34	2.854	48
33.93	2.642	39
34.21	2.621	30
30.98	2.886	28
32.22	2.778	27
25.85	3.447	23
45.57	1.991	16
56.45	1.630	14
50.32	1.813	13
29.98	2.981	13
58.40	1.580	13

Crystal structure
```
data_Pm2Er7Tm2
_chemical_formula_sum 'Pm4 Er14 Tm4'
_cell_length_a 11.134
_cell_length_b 11.417
_cell_length_c 6.029
_cell_angle_alpha 90.00
_cell_angle_beta 113.79
_cell_angle_gamma 90.00
_symmetry_space_group_name_H-M 'C 1 2/m 1'
_symmetry_Int_Tables_number 12
_symmetry_space_group_name_Hall '-C 2y'
loop_
_atom_site_label
_atom_site_fract_x
_atom_site_fract_y
_atom_site_fract_z
_atom_site_occupancy
Pm1 0.090 0.000 0.304 1
Er1 0.000 0.500 0.500 1
Er2 0.175 0.263 0.680 1
Er3 0.227 0.500 0.080 1
Tm1 0.000 0.286 0.000 1
```

K2SrNpTe4: theoretical X-ray powder pattern (Cu Kα), based on the GGA-PBE geometry in Alexandria.

Most intense lines, 2θ = 5–70°, in order of falling intensity:
Position (°2θ)	d [Å]	I (rel.)
26.36	3.382	100
10.81	8.184	41
38.49	2.339	37
36.80	2.442	23
47.33	1.921	13
11.46	7.719	13
36.61	2.455	12
33.76	2.655	11
62.47	1.487	10
40.13	2.247	8
46.51	1.952	8
60.16	1.538	8

Crystal structure
```
data_K2SrNpTe4
_chemical_formula_sum 'K2 Sr1 Np1 Te4'
_cell_length_a 8.117
_cell_length_b 4.671
_cell_length_c 8.606
_cell_angle_alpha 90.00
_cell_angle_beta 108.00
_cell_angle_gamma 90.00
_symmetry_space_group_name_H-M 'P 1 2/m 1'
_symmetry_Int_Tables_number 10
_symmetry_space_group_name_Hall '-P 2y'
loop_
_atom_site_label
_atom_site_fract_x
_atom_site_fract_y
_atom_site_fract_z
_atom_site_occupancy
K1 0.000 0.000 0.000 1
K2 0.500 0.500 0.000 1
Sr1 0.000 0.500 0.500 1
Np1 0.500 0.000 0.500 1
Te1 0.263 0.000 0.715 1
Te2 0.283 0.500 0.292 1
```

NaSrUF6: theoretical X-ray powder pattern (Cu Kα), based on the GGA-PBE geometry in Alexandria.

Most intense lines, 2θ = 5–70°, in order of falling intensity:
Position (°2θ)	d [Å]	I (rel.)
34.22	2.620	100
25.30	3.520	76
27.84	3.204	70
18.72	4.739	69
15.97	5.550	62
19.49	4.554	60
49.08	1.856	60
49.26	1.850	38
47.74	1.905	28
37.97	2.370	27
53.46	1.714	26
44.28	2.046	23

Crystal structure
```
data_NaSrUF6
_chemical_formula_sum 'Na2 Sr2 U2 F12'
_cell_length_a 6.4083
_cell_length_b 6.4083
_cell_length_c 9.1075
_cell_angle_alpha 90.00
_cell_angle_beta 90.00
_cell_angle_gamma 120.00
_symmetry_space_group_name_H-M 'P -3 1 c'
_symmetry_Int_Tables_number 163
_symmetry_space_group_name_Hall '-P 3 2c'
loop_
_atom_site_label
_atom_site_fract_x
_atom_site_fract_y
_atom_site_fract_z
_atom_site_occupancy
Na1 0.0000 0.0000 0.0000 1
Sr1 0.3333 0.6667 0.2500 1
U1 0.3333 0.6667 0.7500 1
F1 0.0150 0.3502 0.6268 1
```